No. 1
Diffraction record for Cs2PaPt2Se4. The powder X-ray diffraction pattern is calculated, not measured: it uses a structure optimized by DFT (PBE) and λ = 1.5418 Å (Cu Kα).
Kinematic intensities with the Lorentz-polarization factor, no thermal factor.

Cell and atoms:
```
Cs2PaPt2Se4
1.0
4.6747 0.0000 0.0000
-0.9764 7.9385 0.0000
-1.7823 -3.9791 8.7284
Cs Pa Pt Se
2 1 2 4
direct
0.1988 0.1928 0.3872
0.8012 0.8072 0.6128
0.0000 0.5000 0.0000
0.1056 0.8438 0.9983
0.8944 0.1562 0.0017
0.1517 0.6540 0.3055
0.4150 0.2375 0.9997
0.5850 0.7625 0.0003
0.8483 0.3460 0.6945
```

The 8 most intense peaks (2θ = 10–90°), in order of rising 2θ:
d [Å]  I/Imax
8.728  100.0
4.484  56.6
4.364  38.5
2.909  32.6
2.810  14.7
2.616  18.3
2.409  18.5
1.815  14.5



No. 2
Diffraction record for SiO2. The powder X-ray diffraction pattern is calculated, not measured: it uses a structure optimized by DFT (PBE) and λ = 1.5418 Å (Cu Kα).
Kinematic intensities with the Lorentz-polarization factor, no thermal factor.

Cell and atoms:
```
SiO2
1.0
-4.4209 4.4209 2.5421
4.4209 -4.4209 2.5421
4.4209 4.4209 -2.5421
Si O
4 8
direct
0.5582 0.0567 0.1473
0.5891 0.4418 0.4985
0.9094 0.4109 0.8527
0.9433 0.0906 0.5015
0.0304 0.3289 0.7080
0.1964 0.7564 0.0202
0.2436 0.2638 0.4400
0.6208 0.3224 0.2920
0.6711 0.3792 0.7016
0.6776 0.9696 0.2984
0.7362 0.1762 0.9798
0.8238 0.8036 0.5600
```

The 8 most intense peaks (2θ = 10–90°), in order of rising 2θ:
d [Å]  I/Imax
6.252  11.8
4.414  100.0
3.122  14.1
2.796  6.4
2.550  18.7
1.881  4.9
1.670  8.9
1.276  6.9



No. 3
Diffraction record for Th2AuF11. The powder X-ray diffraction pattern is calculated, not measured: it uses a structure optimized by DFT (PBE) and λ = 1.5418 Å (Cu Kα).
Kinematic intensities with the Lorentz-polarization factor, no thermal factor.

Cell and atoms:
```
Th2AuF11
1.0
-5.7403 5.7403 3.1801
5.7403 -5.7403 3.1801
5.7403 5.7403 -3.1801
Th Au F
4 2 22
direct
0.1436 0.6436 0.7872
0.3564 0.1436 0.5000
0.6436 0.8564 0.5000
0.8564 0.3564 0.2128
0.0000 0.0000 0.0000
0.5000 0.5000 0.0000
0.0000 0.0000 0.5000
0.0000 0.5000 0.0000
0.0000 0.5000 0.5000
0.0596 0.7500 0.3096
0.1041 0.8654 0.9695
0.1346 0.1041 0.2388
0.2500 0.5596 0.3096
0.2500 0.9404 0.6904
0.3654 0.6041 0.9695
0.3959 0.3654 0.7612
0.4404 0.7500 0.6904
0.5000 0.0000 0.0000
0.5000 0.0000 0.5000
0.5000 0.5000 0.5000
0.5596 0.2500 0.3096
0.6041 0.6346 0.2388
0.6346 0.3959 0.0305
0.7500 0.0596 0.3096
0.7500 0.4404 0.6904
0.8654 0.8959 0.7612
0.8959 0.1346 0.0305
0.9404 0.2500 0.6904
```

The 8 most intense peaks (2θ = 10–90°), in order of rising 2θ:
d [Å]  I/Imax
3.995  100.0
3.631  56.3
3.180  23.2
2.392  31.2
2.030  15.9
2.021  28.1
1.998  17.6
1.960  14.9



No. 4
Diffraction record for Na3Ca3Pb2. The powder X-ray diffraction pattern is calculated, not measured: it uses a structure optimized by DFT (PBE) and λ = 1.5418 Å (Cu Kα).
Kinematic intensities with the Lorentz-polarization factor, no thermal factor.

Cell and atoms:
```
Na3Ca3Pb2
1.0
2.7763 1.6029 9.0928
-2.7763 1.6029 9.0928
0.0000 -3.2058 9.0928
Na Ca Pb
3 3 2
direct
0.0000 0.0000 0.0000
0.1196 0.1196 0.1196
0.6308 0.6308 0.6308
0.2515 0.2515 0.2515
0.5020 0.5020 0.5020
0.7512 0.7512 0.7512
0.3775 0.3775 0.3775
0.8758 0.8758 0.8758
```

The 8 most intense peaks (2θ = 10–90°), in order of rising 2θ:
d [Å]  I/Imax
4.538  76.8
3.930  28.8
2.779  100.0
2.370  45.7
1.965  18.1
1.758  13.9
1.604  28.1
1.512  11.9



No. 5
Diffraction record for Ti4NbRu3. The powder X-ray diffraction pattern is calculated, not measured: it uses a structure optimized by DFT (PBE) and λ = 1.5418 Å (Cu Kα).
Kinematic intensities with the Lorentz-polarization factor, no thermal factor.

Cell and atoms:
```
Ti4NbRu3
1.0
3.0859 0.0000 0.0000
0.0000 4.4326 0.0000
0.0000 0.0000 8.9153
Ti Nb Ru
4 1 3
direct
0.0000 0.0000 0.0000
0.0000 0.0000 0.5000
0.0000 0.5000 0.2391
0.0000 0.5000 0.7609
0.5000 0.5000 0.5000
0.5000 0.0000 0.2444
0.5000 0.0000 0.7556
0.5000 0.5000 0.0000
```

The 8 most intense peaks (2θ = 10–90°), in order of rising 2θ:
d [Å]  I/Imax
3.143  18.0
2.229  25.6
2.216  25.6
2.202  100.0
1.572  16.3
1.282  15.5
1.277  15.9
1.101  9.9



No. 6
Diffraction record for AlZnInO4. The powder X-ray diffraction pattern is calculated, not measured: it uses a structure optimized by DFT (PBE) and λ = 1.5418 Å (Cu Kα).
Kinematic intensities with the Lorentz-polarization factor, no thermal factor.

Cell and atoms:
```
AlZnInO4
1.0
2.9224 -4.4573 0.0000
2.9224 4.4573 0.0000
0.0000 0.0000 6.4281
Al Zn In O
2 2 2 8
direct
0.1500 0.8500 0.7500
0.8500 0.1500 0.2500
0.1645 0.8355 0.2500
0.8355 0.1645 0.7500
0.5000 0.5000 0.0000
0.5000 0.5000 0.5000
0.2198 0.2502 0.2500
0.2502 0.2198 0.7500
0.2594 0.7406 0.5220
0.2594 0.7406 0.9780
0.7406 0.2594 0.0220
0.7406 0.2594 0.4780
0.7498 0.7802 0.2500
0.7802 0.7498 0.7500
```

The 8 most intense peaks (2θ = 10–90°), in order of rising 2θ:
d [Å]  I/Imax
4.888  28.6
2.922  48.4
2.686  100.0
2.649  66.5
1.945  31.9
1.638  18.8
1.552  30.6
1.374  16.6



No. 7
Diffraction record for Sm7Dy3Sc. The powder X-ray diffraction pattern is calculated, not measured: it uses a structure optimized by DFT (PBE) and λ = 1.5418 Å (Cu Kα).
Kinematic intensities with the Lorentz-polarization factor, no thermal factor.

Cell and atoms:
```
Sm7Dy3Sc
1.0
6.9892 0.0000 0.0000
3.3855 9.4131 0.0000
0.0001 0.0001 11.0518
Sm Dy Sc
14 6 2
direct
0.0000 0.0000 0.0000
0.9995 0.0009 0.4676
0.0540 0.8427 0.7341
0.1153 0.7636 0.2340
0.2473 0.4961 0.7334
0.3188 0.3586 0.4409
0.3197 0.3565 0.0251
0.5134 0.9925 0.5250
0.5142 0.9904 0.9410
0.5865 0.8529 0.2335
0.7174 0.5856 0.7340
0.7812 0.5061 0.2341
0.8335 0.3489 0.5001
0.8339 0.3480 0.9675
0.1503 0.1809 0.7336
0.1737 0.1492 0.2337
0.4175 0.6734 0.9846
0.4167 0.6752 0.4838
0.6601 0.1994 0.7337
0.6830 0.1685 0.2336
0.9171 0.6740 0.9838
0.9166 0.6752 0.4842
```

The 8 most intense peaks (2θ = 10–90°), in order of rising 2θ:
d [Å]  I/Imax
3.581  20.3
2.826  56.7
2.821  30.7
2.810  63.9
2.790  24.3
2.763  52.7
2.729  100.0
1.963  21.0



No. 8
Diffraction record for CaPb5Se5. The powder X-ray diffraction pattern is calculated, not measured: it uses a structure optimized by DFT (PBE) and λ = 1.5418 Å (Cu Kα).
Kinematic intensities with the Lorentz-polarization factor, no thermal factor.

Cell and atoms:
```
CaPb5Se5
1.0
6.7945 -3.0428 0.0000
6.7945 3.0428 0.0000
-2.7489 0.0000 8.0943
Ca Pb Se
1 5 5
direct
0.0000 0.0000 0.0000
0.0000 0.0000 0.5000
0.3393 0.3393 0.1792
0.3485 0.3485 0.6529
0.6515 0.6515 0.3471
0.6607 0.6607 0.8208
0.1643 0.1643 0.3287
0.1692 0.1692 0.8416
0.5000 0.5000 0.0000
0.8308 0.8308 0.1584
0.8357 0.8357 0.6713
```

The 8 most intense peaks (2θ = 10–90°), in order of rising 2θ:
d [Å]  I/Imax
3.502  56.8
3.041  100.0
3.016  50.1
2.150  36.6
2.143  56.6
1.753  19.1
1.749  19.1
1.360  18.4